Theoretical powder diffractogram of Dy4Y10Sc for Cu Ka, from a DFT-relaxed cell (GGA-PBE, Alexandria).

```
Dy4Y10Sc
1.0
-4.8951 4.8951 5.1322
4.8951 -4.8951 5.1322
4.8951 4.8951 -5.1322
Dy Y Sc
4 10 1
Direct
0.0663 0.6763 0.7426 Dy
0.3237 0.0663 0.3900 Dy
0.6763 0.9337 0.6100 Dy
0.9337 0.3237 0.2574 Dy
0.1256 0.2254 0.6774 Y
0.2254 0.5481 0.0999 Y
0.2500 0.7500 0.5000 Y
0.4482 0.1256 0.9001 Y
0.4519 0.5518 0.6774 Y
0.5481 0.4482 0.3226 Y
0.5518 0.8744 0.0999 Y
0.7500 0.2500 0.5000 Y
0.7746 0.4519 0.9001 Y
0.8744 0.7746 0.3226 Y
0.0000 0.0000 0.0000 Sc
```

Largest 10 diffraction maxima, low angle first, 2θ = 5–70°:
Position (°2θ), I_rel
12.79, 32.2
22.07, 25.4
27.62, 49.9
28.70, 66.5
28.84, 87.2
33.23, 100.0
33.81, 62.4
34.16, 34.2
45.02, 43.8
55.15, 21.4